(1)
Starting from DFT lattice parameters and positions (PBE), the powder XRD pattern of PrMg2Al2Hg2 was calculated for Cu Kα X-rays.
Intensities are scaled so that the largest is 100.

Largest 8 diffraction maxima, low angle first, 5° ≤ 2θ ≤ 70°:
10.3°, d 8.568, I = 33.6
23.1°, d 3.852, I = 36.9
28.1°, d 3.175, I = 100.0
33.0°, d 2.716, I = 52.3
38.6°, d 2.331, I = 72.0
41.7°, d 2.168, I = 22.9
48.4°, d 1.879, I = 23.1
58.5°, d 1.577, I = 24.0

Lattice parameters (Å, degrees): 4.6618 4.6618 25.7046 90.00 90.00 120.00
Space group R-3m (No. 166, hexagonal axes)
One atom of each set of equivalent atoms:
Pr: 0.0000 0.0000 0.0000 (multiplicity 3)
Mg: 0.0000 0.0000 0.1362 (multiplicity 6)
Al: 0.0000 0.0000 0.2522 (multiplicity 6)
Hg: 0.0000 0.0000 0.4082 (multiplicity 6)

=====

(2)
Starting from DFT lattice parameters and positions (PBE), the powder XRD pattern of MgAlHg2Te4 was calculated for Cu Kα X-rays.
Intensities are scaled so that the largest is 100.

Largest 8 diffraction maxima, low angle first, 5° ≤ 2θ ≤ 70°:
14.9°, d 5.941, I = 24.6
23.4°, d 3.804, I = 100.0
24.9°, d 3.579, I = 15.6
30.6°, d 2.926, I = 21.2
37.9°, d 2.377, I = 32.6
39.1°, d 2.307, I = 51.4
45.0°, d 2.016, I = 32.4
69.1°, d 1.359, I = 16.2

Lattice parameters (Å, degrees): 6.725 6.725 12.680 90.00 90.00 90.00
Space group I-4 (No. 82)
One atom of each set of equivalent atoms:
Mg: 0.000 0.000 0.000 (multiplicity 2)
Al: 0.000 0.500 0.250 (multiplicity 2)
Hg: 0.000 0.000 0.500 (multiplicity 2)
Hg: 0.000 0.500 0.750 (multiplicity 2)
Te: 0.223 0.267 0.128 (multiplicity 8)

=====

(3)
Starting from DFT lattice parameters and positions (PBE), the powder XRD pattern of NaAl3Hg3 was calculated for Cu Kα X-rays.
Intensities are scaled so that the largest is 100.

Largest 8 diffraction maxima, low angle first, 5° ≤ 2θ ≤ 70°:
16.7°, d 5.311, I = 51.4
26.5°, d 3.359, I = 100.0
29.1°, d 3.066, I = 42.8
41.7°, d 2.168, I = 37.4
43.4°, d 2.083, I = 28.0
45.2°, d 2.007, I = 26.0
56.1°, d 1.639, I = 26.7
67.1°, d 1.395, I = 23.7

Lattice parameters (Å, degrees): 7.511 7.511 7.511 90.00 90.00 90.00
Space group Pm-3n (No. 223)
One atom of each set of equivalent atoms:
Na: 0.000 0.000 0.000 (multiplicity 2)
Al: 0.000 0.250 0.500 (multiplicity 6)
Hg: 0.000 0.500 0.250 (multiplicity 6)

=====

(4)
Starting from DFT lattice parameters and positions (PBE), the powder XRD pattern of Nd2Al3Hg was calculated for Cu Kα X-rays.
Intensities are scaled so that the largest is 100.

Largest 8 diffraction maxima, low angle first, 5° ≤ 2θ ≤ 70°:
10.9°, d 8.085, I = 24.0
22.0°, d 4.038, I = 27.9
26.1°, d 3.417, I = 9.3
32.5°, d 2.755, I = 100.0
38.6°, d 2.331, I = 49.0
51.3°, d 1.780, I = 27.5
63.5°, d 1.466, I = 22.9
66.0°, d 1.415, I = 17.1

Lattice parameters (Å, degrees): 3.770 4.657 8.085 90.00 90.00 90.00
Space group Pmm2 (No. 25)
One atom of each set of equivalent atoms:
Nd: 0.000 0.000 0.000 (multiplicity 1)
Nd: 0.000 0.500 0.486 (multiplicity 1)
Al: 0.500 0.000 0.326 (multiplicity 1)
Al: 0.500 0.000 0.657 (multiplicity 1)
Al: 0.500 0.500 0.163 (multiplicity 1)
Hg: 0.500 0.500 0.826 (multiplicity 1)

=====

(5)
Starting from DFT lattice parameters and positions (PBE), the powder XRD pattern of NdAlHg was calculated for Cu Kα X-rays.
Intensities are scaled so that the largest is 100.

Largest 8 diffraction maxima, low angle first, 5° ≤ 2θ ≤ 70°:
21.8°, d 4.073, I = 36.6
22.1°, d 4.027, I = 19.7
31.5°, d 2.844, I = 13.9
32.1°, d 2.788, I = 100.0
32.3°, d 2.773, I = 45.5
38.1°, d 2.360, I = 27.4
38.6°, d 2.334, I = 46.2
50.8°, d 1.798, I = 27.2

Lattice parameters (Å, degrees): 4.721 7.648 8.055 90.00 90.00 90.00
Space group Imm2 (No. 44)
One atom of each set of equivalent atoms:
Nd: 0.000 0.000 0.000 (multiplicity 2)
Nd: 0.000 0.500 0.063 (multiplicity 2)
Al: 0.000 0.306 0.695 (multiplicity 4)
Hg: 0.000 0.216 0.366 (multiplicity 4)